Computed X-ray diffraction stick pattern
Compound: Re2Si8MoW
Radiation: Cu Kα, 1.54184 Å
Structure: a PBE-relaxed structure
Kinematic intensities with the Lorentz-polarization factor, no thermal factor.

Structure:
Unit cell a=3.207 b=3.207 c=15.753 alpha=90.00 beta=90.00 gamma=90.00
Space group P4mm (No. 99)
Asymmetric unit:
Re  0.000  0.000  0.000 [1 per cell]
Re  0.500  0.500  0.247 [1 per cell]
Si  0.000  0.000  0.165 [1 per cell]
Si  0.000  0.000  0.333 [1 per cell]
Si  0.000  0.000  0.665 [1 per cell]
Si  0.000  0.000  0.832 [1 per cell]
Si  0.500  0.500  0.083 [1 per cell]
Si  0.500  0.500  0.416 [1 per cell]
Si  0.500  0.500  0.582 [1 per cell]
Si  0.500  0.500  0.914 [1 per cell]
Mo  0.000  0.000  0.497 [1 per cell]
W  0.500  0.500  0.750 [1 per cell]

Largest 6 diffraction maxima, in order of falling intensity, 10° ≤ 2θ ≤ 90°:
| h k l | Position (°2θ) | I (rel.) |
| --- | --- | --- |
| 1 0 2 | 30.09 | 100 |
| 1 0 6 | 44.60 | 92 |
| 1 1 0 | 39.75 | 64 |
| 0 0 4 | 22.58 | 49 |
| 0 0 8 | 46.17 | 39 |
| 2 1 6 | 75.54 | 39 |